[1]
Pm2Ag3Hg3: computed powder X-ray diffraction pattern (Cu Kα, 1.54184 Å), based on the PBE geometry in Alexandria.
Lines closer than 0.1° are merged.

Atomic structure:
```
data_Pm2Ag3Hg3
_cell_length_a 5.0724
_cell_length_b 5.0724
_cell_length_c 24.7789
_cell_angle_alpha 90.00
_cell_angle_beta 90.00
_cell_angle_gamma 120.00
_symmetry_space_group_name_H-M 'R 3 m'
_symmetry_Int_Tables_number 160
_symmetry_space_group_name_Hall 'R 3 -2"'
loop_
_atom_site_label
_atom_site_type_symbol
_atom_site_fract_x
_atom_site_fract_y
_atom_site_fract_z
Pm1 Pm 0.0000 0.0000 0.0000
Pm2 Pm 0.0000 0.0000 0.4991
Ag1 Ag 0.0000 0.0000 0.2514
Ag2 Ag 0.0000 0.0000 0.3741
Ag3 Ag 0.0000 0.0000 0.7480
Hg1 Hg 0.0000 0.0000 0.1243
Hg2 Hg 0.0000 0.0000 0.6254
Hg3 Hg 0.0000 0.0000 0.8745
```

The 6 most intense peaks (10° ≤ 2θ ≤ 90°), by intensity:
(1 1 0), 35.4 deg, I = 100; (3 0 0), 63.6 deg, I = 27; (2 0 8), 51.0 deg, I = 18; (1 0 16), 63.7 deg, I = 9; (3 1 8), 85.7 deg, I = 8; (2 1 16), 85.8 deg, I = 8



[2]
Pm2Ag3Hg4: computed powder X-ray diffraction pattern (Cu Kα, 1.54184 Å), based on the PBE geometry in Alexandria.
Lines closer than 0.1° are merged.

Atomic structure:
```
data_Pm2Ag3Hg4
_cell_length_a 4.9770
_cell_length_b 5.1030
_cell_length_c 9.3951
_cell_angle_alpha 85.03
_cell_angle_beta 89.80
_cell_angle_gamma 60.85
_symmetry_space_group_name_H-M 'P -1'
_symmetry_Int_Tables_number 2
loop_
_symmetry_equiv_pos_as_xyz
'x,y,z'
'-x,-y,-z'
loop_
_atom_site_label
_atom_site_type_symbol
_atom_site_fract_x
_atom_site_fract_y
_atom_site_fract_z
Pm1 Pm 0.1781 0.1419 0.2329
Ag1 Ag 0.1524 0.1985 0.5744
Ag2 Ag 0.5000 0.5000 0.0000
Hg1 Hg 0.1614 0.1780 0.8987
Hg2 Hg 0.4783 0.5466 0.6502
```

The 6 most intense peaks (10° ≤ 2θ ≤ 90°), by intensity:
(1 1 3), 34.6 deg, I = 100; (1 -1 0), 35.3 deg, I = 92; (2 1 0), 36.1 deg, I = 47; (0 1 -3), 36.8 deg, I = 39; (3 0 0), 64.4 deg, I = 22; (0 2 3), 48.0 deg, I = 18



[3]
PmAgHg6: computed powder X-ray diffraction pattern (Cu Kα, 1.54184 Å), based on the PBE geometry in Alexandria.
Lines closer than 0.1° are merged.

Atomic structure:
```
data_PmAgHg6
_cell_length_a 5.0030
_cell_length_b 7.1705
_cell_length_c 11.0473
_cell_angle_alpha 90.00
_cell_angle_beta 90.00
_cell_angle_gamma 90.00
_symmetry_space_group_name_H-M 'A m m 2'
_symmetry_Int_Tables_number 38
loop_
_symmetry_equiv_pos_as_xyz
'x,y,z'
'-x,-y,z'
'-x,y,z'
'x,-y,z'
'x,y+1/2,z+1/2'
'-x,-y+1/2,z+1/2'
'-x,y+1/2,z+1/2'
'x,-y+1/2,z+1/2'
loop_
_atom_site_label
_atom_site_type_symbol
_atom_site_fract_x
_atom_site_fract_y
_atom_site_fract_z
Pm1 Pm 0.0000 0.0000 0.0000
Ag1 Ag 0.5000 0.0000 0.2211
Hg1 Hg 0.0000 0.0000 0.4965
Hg2 Hg 0.0000 0.2364 0.2541
Hg3 Hg 0.5000 0.0000 0.7985
Hg4 Hg 0.5000 0.2194 0.5253
```

The 6 most intense peaks (10° ≤ 2θ ≤ 90°), by intensity:
(1 2 2), 34.8 deg, I = 100; (2 0 0), 35.9 deg, I = 26; (0 0 4), 32.4 deg, I = 26; (3 2 2), 63.8 deg, I = 26; (2 0 4), 49.1 deg, I = 16; (1 2 6), 59.4 deg, I = 13



[4]
Pm6AgHg3: computed powder X-ray diffraction pattern (Cu Kα, 1.54184 Å), based on the PBE geometry in Alexandria.
Lines closer than 0.1° are merged.

Atomic structure:
```
data_Pm6AgHg3
_cell_length_a 9.3096
_cell_length_b 5.4059
_cell_length_c 11.8901
_cell_angle_alpha 90.00
_cell_angle_beta 108.53
_cell_angle_gamma 90.00
_symmetry_space_group_name_H-M 'P 1 21/m 1'
_symmetry_Int_Tables_number 11
loop_
_symmetry_equiv_pos_as_xyz
'x,y,z'
'-x,-y,-z'
'-x,y+1/2,-z'
'x,-y+1/2,z'
loop_
_atom_site_label
_atom_site_type_symbol
_atom_site_fract_x
_atom_site_fract_y
_atom_site_fract_z
Pm1 Pm 0.0288 0.2500 0.4082
Pm2 Pm 0.1603 0.7500 0.1775
Pm3 Pm 0.2489 0.2500 0.9997
Pm4 Pm 0.3523 0.7500 0.8160
Pm5 Pm 0.3694 0.2500 0.3484
Pm6 Pm 0.4034 0.2500 0.6298
Ag1 Ag 0.4499 0.7500 0.0968
Hg1 Hg 0.0284 0.7500 0.8777
Hg2 Hg 0.1163 0.2500 0.7148
Hg3 Hg 0.2724 0.7500 0.4751
```

The 6 most intense peaks (10° ≤ 2θ ≤ 90°), by intensity:
(0 2 0), 33.2 deg, I = 100; (3 1 -1), 33.3 deg, I = 57; (2 0 -4), 31.8 deg, I = 25; (2 2 -4), 46.6 deg, I = 18; (1 3 3), 59.2 deg, I = 16; (2 1 -4), 36.0 deg, I = 13



[5]
Pr3Ag4Hg2: computed powder X-ray diffraction pattern (Cu Kα, 1.54184 Å), based on the PBE geometry in Alexandria.
Lines closer than 0.1° are merged.

Atomic structure:
```
data_Pr3Ag4Hg2
_cell_length_a 11.0867
_cell_length_b 4.9242
_cell_length_c 9.2745
_cell_angle_alpha 90.00
_cell_angle_beta 118.62
_cell_angle_gamma 90.00
_symmetry_space_group_name_H-M 'C 1 2/m 1'
_symmetry_Int_Tables_number 12
loop_
_symmetry_equiv_pos_as_xyz
'x,y,z'
'-x,-y,-z'
'-x,y,-z'
'x,-y,z'
'x+1/2,y+1/2,z'
'-x+1/2,-y+1/2,-z'
'-x+1/2,y+1/2,-z'
'x+1/2,-y+1/2,z'
loop_
_atom_site_label
_atom_site_type_symbol
_atom_site_fract_x
_atom_site_fract_y
_atom_site_fract_z
Pr1 Pr 0.0000 0.0000 0.0000
Pr2 Pr 0.1659 0.5000 0.6679
Ag1 Ag 0.0522 0.0000 0.3886
Ag2 Ag 0.2273 0.5000 0.0573
Hg1 Hg 0.1130 0.5000 0.2788
```

The 6 most intense peaks (10° ≤ 2θ ≤ 90°), by intensity:
(3 1 0), 33.0 deg, I = 100; (3 1 -3), 36.3 deg, I = 58; (0 2 0), 36.5 deg, I = 29; (0 2 3), 50.0 deg, I = 20; (1 1 5), 65.3 deg, I = 20; (6 0 -3), 49.8 deg, I = 11



[6]
Pr3Ag2Hg: computed powder X-ray diffraction pattern (Cu Kα, 1.54184 Å), based on the PBE geometry in Alexandria.
Lines closer than 0.1° are merged.

Atomic structure:
```
data_Pr3Ag2Hg
_cell_length_a 3.8308
_cell_length_b 3.8308
_cell_length_c 11.3066
_cell_angle_alpha 90.00
_cell_angle_beta 90.00
_cell_angle_gamma 90.00
_symmetry_space_group_name_H-M 'P 4/m m m'
_symmetry_Int_Tables_number 123
_symmetry_space_group_name_Hall '-P 4 2'
loop_
_atom_site_label
_atom_site_type_symbol
_atom_site_fract_x
_atom_site_fract_y
_atom_site_fract_z
Pr1 Pr 0.0000 0.0000 0.0000
Pr2 Pr 0.0000 0.0000 0.3298
Ag1 Ag 0.5000 0.5000 0.1625
Hg1 Hg 0.5000 0.5000 0.5000
```

The 6 most intense peaks (10° ≤ 2θ ≤ 90°), by intensity:
(1 0 3), 33.4 deg, I = 100; (1 1 0), 33.1 deg, I = 51; (2 1 3), 59.2 deg, I = 38; (2 0 0), 47.5 deg, I = 19; (1 1 6), 59.8 deg, I = 18; (2 0 6), 70.0 deg, I = 11



[7]
Pr3Ag2Hg7: computed powder X-ray diffraction pattern (Cu Kα, 1.54184 Å), based on the PBE geometry in Alexandria.
Lines closer than 0.1° are merged.

Atomic structure:
```
data_Pr3Ag2Hg7
_cell_length_a 5.0240
_cell_length_b 31.3754
_cell_length_c 3.9353
_cell_angle_alpha 90.00
_cell_angle_beta 90.00
_cell_angle_gamma 90.00
_symmetry_space_group_name_H-M 'C m m m'
_symmetry_Int_Tables_number 65
_symmetry_space_group_name_Hall '-C 2 2'
loop_
_atom_site_label
_atom_site_type_symbol
_atom_site_fract_x
_atom_site_fract_y
_atom_site_fract_z
Pr1 Pr 0.0000 0.0000 0.0000
Pr2 Pr 0.0000 0.1812 0.0000
Ag1 Ag 0.0000 0.3585 0.5000
Hg1 Hg 0.0000 0.0895 0.5000
Hg2 Hg 0.0000 0.2713 0.5000
Hg3 Hg 0.0000 0.4251 0.0000
Hg4 Hg 0.0000 0.5000 0.5000
```

The 6 most intense peaks (10° ≤ 2θ ≤ 90°), by intensity:
(1 5 1), 32.2 deg, I = 100; (2 0 0), 35.7 deg, I = 33; (1 7 1), 35.2 deg, I = 25; (1 11 0), 36.2 deg, I = 17; (0 0 2), 46.1 deg, I = 16; (2 0 2), 59.7 deg, I = 15



[8]
Pr4Ag2Hg: computed powder X-ray diffraction pattern (Cu Kα, 1.54184 Å), based on the PBE geometry in Alexandria.
Lines closer than 0.1° are merged.

Atomic structure:
```
data_Pr4Ag2Hg
_cell_length_a 7.5800
_cell_length_b 7.5800
_cell_length_c 7.4704
_cell_angle_alpha 90.00
_cell_angle_beta 90.00
_cell_angle_gamma 90.00
_symmetry_space_group_name_H-M 'I 4/m m m'
_symmetry_Int_Tables_number 139
_symmetry_space_group_name_Hall '-I 4 2'
loop_
_atom_site_label
_atom_site_type_symbol
_atom_site_fract_x
_atom_site_fract_y
_atom_site_fract_z
Pr1 Pr 0.2500 0.2500 0.2500
Ag1 Ag 0.0000 0.5000 0.0000
Hg1 Hg 0.0000 0.0000 0.0000
```

The 6 most intense peaks (10° ≤ 2θ ≤ 90°), by intensity:
(2 0 2), 33.7 deg, I = 100; (2 2 0), 33.4 deg, I = 51; (4 2 2), 59.9 deg, I = 38; (1 0 1), 16.7 deg, I = 22; (4 0 0), 48.0 deg, I = 18; (2 2 4), 60.4 deg, I = 18



[9]
Pr2Ag3Hg: computed powder X-ray diffraction pattern (Cu Kα, 1.54184 Å), based on the PBE geometry in Alexandria.
Lines closer than 0.1° are merged.

Atomic structure:
```
data_Pr2Ag3Hg
_cell_length_a 6.9606
_cell_length_b 9.8419
_cell_length_c 17.1609
_cell_angle_alpha 90.00
_cell_angle_beta 90.00
_cell_angle_gamma 90.00
_symmetry_space_group_name_H-M 'F m m m'
_symmetry_Int_Tables_number 69
_symmetry_space_group_name_Hall '-F 2 2'
loop_
_atom_site_label
_atom_site_type_symbol
_atom_site_fract_x
_atom_site_fract_y
_atom_site_fract_z
Pr1 Pr 0.2479 0.0000 0.0000
Pr2 Pr 0.2500 0.2500 0.2500
Ag1 Ag 0.0000 0.0000 0.1651
Ag2 Ag 0.0000 0.2478 0.0822
Hg1 Hg 0.0000 0.0000 0.3334
```

The 6 most intense peaks (10° ≤ 2θ ≤ 90°), by intensity:
(2 2 2), 33.2 deg, I = 100; (0 2 6), 36.3 deg, I = 58; (4 2 6), 65.6 deg, I = 30; (0 4 0), 36.5 deg, I = 28; (2 4 4), 50.1 deg, I = 20; (6 2 2), 87.0 deg, I = 11



[10]
PrAg6Hg2: computed powder X-ray diffraction pattern (Cu Kα, 1.54184 Å), based on the PBE geometry in Alexandria.
Lines closer than 0.1° are merged.

Atomic structure:
```
data_PrAg6Hg2
_cell_length_a 14.6695
_cell_length_b 8.0043
_cell_length_c 3.4966
_cell_angle_alpha 90.00
_cell_angle_beta 103.71
_cell_angle_gamma 90.00
_symmetry_space_group_name_H-M 'C 1 2/m 1'
_symmetry_Int_Tables_number 12
loop_
_symmetry_equiv_pos_as_xyz
'x,y,z'
'-x,-y,-z'
'-x,y,-z'
'x,-y,z'
'x+1/2,y+1/2,z'
'-x+1/2,-y+1/2,-z'
'-x+1/2,y+1/2,-z'
'x+1/2,-y+1/2,z'
loop_
_atom_site_label
_atom_site_type_symbol
_atom_site_fract_x
_atom_site_fract_y
_atom_site_fract_z
Pr1 Pr 0.0000 0.0000 0.0000
Ag1 Ag 0.0000 0.3271 0.5000
Ag2 Ag 0.1765 0.1776 0.6767
Hg1 Hg 0.1459 0.5000 0.1488
```

The 6 most intense peaks (10° ≤ 2θ ≤ 90°), by intensity:
(3 3 0), 38.7 deg, I = 100; (2 2 -1), 34.6 deg, I = 80; (5 1 -1), 37.8 deg, I = 66; (1 1 1), 30.6 deg, I = 61; (6 0 0), 37.9 deg, I = 45; (1 3 2), 67.0 deg, I = 38



[11]
TbPrAgHg: computed powder X-ray diffraction pattern (Cu Kα, 1.54184 Å), based on the PBE geometry in Alexandria.
Lines closer than 0.1° are merged.

Atomic structure:
```
data_TbPrAgHg
_cell_length_a 3.7380
_cell_length_b 3.7380
_cell_length_c 7.5989
_cell_angle_alpha 90.00
_cell_angle_beta 90.00
_cell_angle_gamma 90.00
_symmetry_space_group_name_H-M 'P 4 m m'
_symmetry_Int_Tables_number 99
loop_
_symmetry_equiv_pos_as_xyz
'x,y,z'
'-y,x,z'
'-x,-y,z'
'y,-x,z'
'-x,y,z'
'y,x,z'
'x,-y,z'
'-y,-x,z'
loop_
_atom_site_label
_atom_site_type_symbol
_atom_site_fract_x
_atom_site_fract_y
_atom_site_fract_z
Tb1 Tb 0.0000 0.0000 0.0000
Pr1 Pr 0.0000 0.0000 0.5111
Ag1 Ag 0.5000 0.5000 0.7779
Hg1 Hg 0.5000 0.5000 0.2398
```

The 6 most intense peaks (10° ≤ 2θ ≤ 90°), by intensity:
(1 0 2), 33.6 deg, I = 100; (1 1 0), 33.9 deg, I = 50; (2 1 2), 60.5 deg, I = 37; (2 0 0), 48.7 deg, I = 18; (1 1 4), 60.0 deg, I = 17; (2 0 4), 70.7 deg, I = 11



[12]
Ag2Hg2Pt: computed powder X-ray diffraction pattern (Cu Kα, 1.54184 Å), based on the PBE geometry in Alexandria.
Lines closer than 0.1° are merged.

Atomic structure:
```
data_Ag2Hg2Pt
_cell_length_a 7.1838
_cell_length_b 7.1838
_cell_length_c 3.9106
_cell_angle_alpha 90.00
_cell_angle_beta 90.00
_cell_angle_gamma 90.00
_symmetry_space_group_name_H-M 'P 4/m b m'
_symmetry_Int_Tables_number 127
_symmetry_space_group_name_Hall '-P 4 2ab'
loop_
_atom_site_label
_atom_site_type_symbol
_atom_site_fract_x
_atom_site_fract_y
_atom_site_fract_z
Ag1 Ag 0.1371 0.3629 0.0000
Hg1 Hg 0.1674 0.6674 0.5000
Pt1 Pt 0.0000 0.0000 0.0000
```

The 6 most intense peaks (10° ≤ 2θ ≤ 90°), by intensity:
(2 1 1), 36.2 deg, I = 100; (3 1 0), 39.7 deg, I = 47; (2 0 1), 33.9 deg, I = 35; (3 1 2), 62.7 deg, I = 24; (0 0 2), 46.4 deg, I = 19; (1 1 1), 28.8 deg, I = 15



[13]
Ag2Hg2Pt: computed powder X-ray diffraction pattern (Cu Kα, 1.54184 Å), based on the PBE geometry in Alexandria.
Lines closer than 0.1° are merged.

Atomic structure:
```
data_Ag2Hg2Pt
_cell_length_a 7.2312
_cell_length_b 7.2312
_cell_length_c 3.9033
_cell_angle_alpha 90.00
_cell_angle_beta 90.00
_cell_angle_gamma 90.00
_symmetry_space_group_name_H-M 'P 4/m b m'
_symmetry_Int_Tables_number 127
_symmetry_space_group_name_Hall '-P 4 2ab'
loop_
_atom_site_label
_atom_site_type_symbol
_atom_site_fract_x
_atom_site_fract_y
_atom_site_fract_z
Ag1 Ag 0.1564 0.3436 0.0000
Hg1 Hg 0.1464 0.6464 0.5000
Pt1 Pt 0.0000 0.0000 0.5000
```

The 6 most intense peaks (10° ≤ 2θ ≤ 90°), by intensity:
(2 1 1), 36.1 deg, I = 100; (3 1 0), 39.4 deg, I = 49; (3 1 2), 62.6 deg, I = 25; (0 0 1), 22.8 deg, I = 23; (3 1 1), 46.0 deg, I = 19; (5 2 1), 74.8 deg, I = 18



[14]
Ag7Hg2Pt2: computed powder X-ray diffraction pattern (Cu Kα, 1.54184 Å), based on the PBE geometry in Alexandria.
Lines closer than 0.1° are merged.

Atomic structure:
```
data_Ag7Hg2Pt2
_cell_length_a 9.5460
_cell_length_b 9.6563
_cell_length_c 5.0336
_cell_angle_alpha 90.00
_cell_angle_beta 115.16
_cell_angle_gamma 90.00
_symmetry_space_group_name_H-M 'C 1 2/m 1'
_symmetry_Int_Tables_number 12
loop_
_symmetry_equiv_pos_as_xyz
'x,y,z'
'-x,-y,-z'
'-x,y,-z'
'x,-y,z'
'x+1/2,y+1/2,z'
'-x+1/2,-y+1/2,-z'
'-x+1/2,y+1/2,-z'
'x+1/2,-y+1/2,z'
loop_
_atom_site_label
_atom_site_type_symbol
_atom_site_fract_x
_atom_site_fract_y
_atom_site_fract_z
Ag1 Ag 0.0000 0.0000 0.0000
Ag2 Ag 0.0833 0.5000 0.7994
Ag3 Ag 0.1667 0.2455 0.1649
Hg1 Hg 0.1903 0.0000 0.6033
Pt1 Pt 0.0000 0.2389 0.5000
```

The 6 most intense peaks (10° ≤ 2θ ≤ 90°), by intensity:
(2 2 1), 39.0 deg, I = 100; (0 4 0), 37.2 deg, I = 57; (3 1 -1), 30.3 deg, I = 38; (4 2 -1), 42.3 deg, I = 32; (1 1 -2), 37.5 deg, I = 27; (3 3 -1), 40.4 deg, I = 25